Structure and theoretical powder diffraction line list of Tl2VCl5O (a cell relaxed with GGA+U; λ = 1.5418 Å (Cu Kα)).
Intensities are scaled so that the largest is 100.

Atomic structure:
Lattice parameters (Å, degrees): 7.013 7.013 7.013 120.66 120.66 88.85
Element x y z (fractional)
Tl: 0.000 0.500 0.500
Tl: 0.500 0.000 0.500
V: 0.266 0.266 0.000
Cl: 0.008 0.008 0.526
Cl: 0.008 0.483 0.000
Cl: 0.013 0.013 0.000
Cl: 0.483 0.008 0.000
Cl: 0.483 0.483 0.474
O: 0.429 0.429 0.000

Peak list (10 most intense, 2θ from 10° to 90°, most intense first)
31.36°, I 100; 25.41°, I 94; 18.07°, I 53; 36.61°, I 46; 45.09°, I 41; 25.66°, I 36; 52.18°, I 30; 62.66°, I 25; 35.86°, I 23; 17.71°, I 19